Diffraction record for KPO4. The powder diffraction line list is calculated, not measured: it uses DFT lattice parameters and positions (GGA-PBE) and Cu Kα.
Lines closer than 0.1° are merged.

Cell and atoms:
a = 6.564 Å, b = 6.564 Å, c = 6.564 Å
α = 107.25°, β = 107.25°, γ = 114.02°
Atoms (fractional coordinates):
K 0.375 0.625 0.750
K 0.625 0.375 0.250
P 0.125 0.875 0.250
P 0.875 0.125 0.750
O 0.161 0.247 0.913
O 0.166 0.753 0.413
O 0.247 0.161 0.413
O 0.247 0.834 0.087
O 0.753 0.166 0.913
O 0.753 0.839 0.587
O 0.834 0.247 0.587
O 0.839 0.753 0.087

Peak list (10 most intense, 10 to 90 degrees two-theta, in order of rising 2θ)
| two_theta | I_rel |
| --- | --- |
| 22.84 | 100 |
| 29.80 | 63 |
| 34.05 | 19 |
| 36.84 | 10 |
| 43.79 | 11 |
| 44.69 | 35 |
| 46.66 | 11 |
| 61.91 | 11 |
| 66.60 | 10 |
| 76.37 | 12 |

=====

Diffraction record for TiAs2. The powder diffraction line list is calculated, not measured: it uses DFT lattice parameters and positions (GGA-PBE) and Cu Kα.
Lines closer than 0.1° are merged.

Cell and atoms:
a = 8.575 Å, b = 15.357 Å, c = 3.536 Å
α = 90.00°, β = 90.00°, γ = 90.00°
Atoms (fractional coordinates):
Ti 0.084 0.216 0.000
Ti 0.158 0.518 0.500
Ti 0.342 0.018 0.000
Ti 0.416 0.716 0.500
Ti 0.584 0.284 0.500
Ti 0.658 0.982 0.000
Ti 0.842 0.482 0.500
Ti 0.916 0.784 0.000
As 0.037 0.400 0.000
As 0.102 0.919 0.000
As 0.172 0.101 0.500
As 0.218 0.767 0.000
As 0.282 0.267 0.500
As 0.328 0.601 0.000
As 0.398 0.419 0.500
As 0.463 0.900 0.500
As 0.537 0.100 0.500
As 0.602 0.581 0.500
As 0.672 0.399 0.000
As 0.718 0.733 0.500
As 0.782 0.233 0.000
As 0.828 0.899 0.500
As 0.898 0.081 0.000
As 0.963 0.600 0.000

Peak list (10 most intense, 10 to 90 degrees two-theta, in order of rising 2θ)
| two_theta | I_rel |
| --- | --- |
| 27.28 | 69 |
| 27.91 | 74 |
| 34.90 | 100 |
| 35.06 | 58 |
| 38.84 | 67 |
| 39.30 | 36 |
| 40.57 | 84 |
| 44.98 | 38 |
| 50.09 | 47 |
| 51.70 | 52 |